Starting from a cell relaxed with PBE, the powder X-ray diffraction pattern of Li5Ni3N3 was calculated for Cu Kα (weighted mean of Kα1 and Kα2).
Peak positions follow from Bragg's law for the DFT cell and can differ from measured ones.

Principal peaks in the range 2θ from 5° to 70°, by angle:
Position (°2θ), Rel. int.
25.7, 13
27.3, 100
37.8, 45
42.3, 7
48.3, 20
52.7, 7
55.5, 8
56.4, 9
60.4, 17
63.0, 7

Structure:
a b c (Å): 6.5246 6.5246 3.4724
angles (deg): 90.00 90.00 120.00
Atoms (fractional coordinates):
Li  0.0000  0.2631  0.0000
Li  0.2631  0.0000  0.0000
Li  0.3333  0.6667  0.0000
Li  0.6667  0.3333  0.0000
Li  0.7369  0.7369  0.0000
Ni  0.0000  0.6329  0.5000
Ni  0.3671  0.3671  0.5000
Ni  0.6329  0.0000  0.5000
N  0.0000  0.6346  0.0000
N  0.3654  0.3654  0.0000
N  0.6346  0.0000  0.0000

---

Starting from a cell relaxed with PBE, the powder X-ray diffraction pattern of Li6Ni2N3 was calculated for Cu Kα (weighted mean of Kα1 and Kα2).
Peak positions follow from Bragg's law for the DFT cell and can differ from measured ones.

Principal peaks in the range 2θ from 5° to 70°, by angle:
Position (°2θ), Rel. int.
15.8, 56
27.6, 100
29.9, 23
32.0, 13
37.7, 36
41.2, 11
42.6, 12
48.8, 16
50.2, 9
59.8, 18

Structure:
a b c (Å): 3.5233 6.4808 6.4808
angles (deg): 120.20 90.00 90.00
Atoms (fractional coordinates):
Li  0.0000  0.0000  0.0000
Li  0.0000  0.2849  0.5365
Li  0.0000  0.5365  0.2849
Li  0.0000  0.6091  0.9326
Li  0.0000  0.9326  0.6091
Li  0.5000  0.6432  0.6432
Ni  0.5000  0.2771  0.9110
Ni  0.5000  0.9110  0.2771
N  0.0000  0.2763  0.9121
N  0.0000  0.6399  0.6399
N  0.0000  0.9121  0.2763

---

Starting from a cell relaxed with PBE, the powder X-ray diffraction pattern of LiNiN was calculated for Cu Kα (weighted mean of Kα1 and Kα2).
Peak positions follow from Bragg's law for the DFT cell and can differ from measured ones.

Principal peaks in the range 2θ from 5° to 70°, by angle:
Position (°2θ), Rel. int.
26.1, 14
28.4, 100
38.9, 43
50.4, 22
53.6, 6
57.6, 10
58.8, 11
61.8, 18
65.4, 9

Structure:
a b c (Å): 3.6242 3.6242 3.4204
angles (deg): 90.00 90.00 120.00
Atoms (fractional coordinates):
Li  0.0000  0.0000  0.0000
Ni  0.6667  0.3333  0.5000
N  0.6667  0.3333  0.0000

---

Starting from a cell relaxed with PBE, the powder X-ray diffraction pattern of Li2NiN was calculated for Cu Kα (weighted mean of Kα1 and Kα2).
Peak positions follow from Bragg's law for the DFT cell and can differ from measured ones.

Principal peaks in the range 2θ from 5° to 70°, by angle:
Position (°2θ), Rel. int.
25.5, 11
26.9, 100
37.4, 48
47.5, 28
52.5, 7
54.7, 9
55.4, 11
59.9, 17
62.0, 11

Structure:
a b c (Å): 3.8294 3.8294 3.4869
angles (deg): 90.00 90.00 120.00
Atoms (fractional coordinates):
Li  0.3333  0.6667  0.0000
Li  0.6667  0.3333  0.0000
Ni  0.0000  0.0000  0.5000
N  0.0000  0.0000  0.0000

---

Starting from a cell relaxed with PBE, the powder X-ray diffraction pattern of Sr3Li3Ni4N4 was calculated for Cu Kα (weighted mean of Kα1 and Kα2).
Peak positions follow from Bragg's law for the DFT cell and can differ from measured ones.

Principal peaks in the range 2θ from 5° to 70°, by angle:
Position (°2θ), Rel. int.
13.6, 38
25.3, 50
29.4, 29
33.2, 100
34.1, 52
34.7, 76
44.7, 27
56.8, 27
60.6, 27
63.8, 31

Structure:
a b c (Å): 9.3364 9.3364 9.3364
angles (deg): 154.93 135.57 51.69
Atoms (fractional coordinates):
Sr  0.0000  0.0000  0.0000
Sr  0.2182  0.2182  0.0000
Sr  0.7818  0.7818  0.0000
Li  0.3841  0.8841  0.5000
Li  0.5000  0.5000  0.0000
Li  0.6159  0.1159  0.5000
Ni  0.1303  0.3803  0.7500
Ni  0.3698  0.6197  0.7500
Ni  0.6302  0.3803  0.2500
Ni  0.8697  0.6197  0.2500
N  0.1164  0.6164  0.5000
N  0.3795  0.3795  0.0000
N  0.6205  0.6205  0.0000
N  0.8836  0.3836  0.5000

---

Starting from a cell relaxed with PBE, the powder X-ray diffraction pattern of Li8N3O was calculated for Cu Kα (weighted mean of Kα1 and Kα2).
Peak positions follow from Bragg's law for the DFT cell and can differ from measured ones.

Principal peaks in the range 2θ from 5° to 70°, by angle:
Position (°2θ), Rel. int.
18.5, 2
26.2, 1
32.3, 100
37.4, 3
54.0, 77
64.3, 21

Structure:
a b c (Å): 4.8055 4.8055 4.8055
angles (deg): 90.00 90.00 90.00
Atoms (fractional coordinates):
Li  0.2424  0.2424  0.2424
Li  0.2424  0.2424  0.7575
Li  0.2424  0.7575  0.2424
Li  0.2424  0.7575  0.7575
Li  0.7575  0.2424  0.2424
Li  0.7575  0.2424  0.7575
Li  0.7575  0.7575  0.2424
Li  0.7575  0.7575  0.7575
N  0.0000  0.5000  0.5000
N  0.5000  0.0000  0.5000
N  0.5000  0.5000  0.0000
O  0.0000  0.0000  0.0000

---

Starting from a cell relaxed with PBE, the powder X-ray diffraction pattern of Li4NO was calculated for Cu Kα (weighted mean of Kα1 and Kα2).
Peak positions follow from Bragg's law for the DFT cell and can differ from measured ones.

Principal peaks in the range 2θ from 5° to 70°, by angle:
Position (°2θ), Rel. int.
18.0, 3
26.9, 1
32.6, 100
36.4, 2
38.4, 3
54.0, 51
55.5, 23
63.1, 8
65.8, 14
69.9, 1

Structure:
a b c (Å): 3.3129 3.3129 4.9365
angles (deg): 90.00 90.00 90.00
Atoms (fractional coordinates):
Li  0.0000  0.5000  0.2362
Li  0.0000  0.5000  0.7638
Li  0.5000  0.0000  0.2362
Li  0.5000  0.0000  0.7638
N  0.0000  0.0000  0.5000
O  0.5000  0.5000  0.0000

---

Please write out number 2 again, unchanged.
Starting from a cell relaxed with PBE, the powder X-ray diffraction pattern of Li6Ni2N3 was calculated for Cu Kα (weighted mean of Kα1 and Kα2).
Peak positions follow from Bragg's law for the DFT cell and can differ from measured ones.

Principal peaks in the range 2θ from 5° to 70°, by angle:
Position (°2θ), Rel. int.
15.8, 56
27.6, 100
29.9, 23
32.0, 13
37.7, 36
41.2, 11
42.6, 12
48.8, 16
50.2, 9
59.8, 18

Structure:
a b c (Å): 3.5233 6.4808 6.4808
angles (deg): 120.20 90.00 90.00
Atoms (fractional coordinates):
Li  0.0000  0.0000  0.0000
Li  0.0000  0.2849  0.5365
Li  0.0000  0.5365  0.2849
Li  0.0000  0.6091  0.9326
Li  0.0000  0.9326  0.6091
Li  0.5000  0.6432  0.6432
Ni  0.5000  0.2771  0.9110
Ni  0.5000  0.9110  0.2771
N  0.0000  0.2763  0.9121
N  0.0000  0.6399  0.6399
N  0.0000  0.9121  0.2763